(1)
This entry pairs a crystal structure of Tb4Dy7Ho2 with its simulated X-ray diffraction stick pattern. Radiation: Cu Kα X-rays. Structure: a DFT-relaxed cell (PBE, Alexandria).
Peak positions follow from Bragg's law for the DFT cell and can differ from measured ones.

Main lines, sorted by position (2θ = 10–80°):
- hkl 2 1 0, 2θ = 31.0°, I 100.0
- hkl 1 3 2, 2θ = 35.9°, I 50.6
- hkl 3 2 3, 2θ = 51.7°, I 36.0
- hkl 1 5 1, 2θ = 61.5°, I 21.4
- hkl 4 0 1, 2θ = 61.5°, I 21.3
- hkl 4 2 0, 2θ = 64.6°, I 12.3

Crystal structure
```
data_Tb4Dy7Ho2
_chemical_formula_sum 'Tb4 Dy7 Ho2'
_cell_length_a 6.119
_cell_length_b 7.906
_cell_length_c 9.361
_cell_angle_alpha 65.07
_cell_angle_beta 83.78
_cell_angle_gamma 82.56
_space_group_name_H-M_alt 'P -1'
_space_group_IT_number 2
loop_
_space_group_symop_operation_xyz
'x,y,z'
'-x,-y,-z'
loop_
_atom_site_label
_atom_site_fract_x
_atom_site_fract_y
_atom_site_fract_z
Tb1 0.039 0.423 0.346
Tb2 0.192 0.115 0.731
Dy1 0.116 0.269 0.038
Dy2 0.269 0.962 0.423
Dy3 0.423 0.654 0.808
Dy4 0.500 0.500 0.500
Ho1 0.346 0.808 0.115
```

(2)
This entry pairs a crystal structure of Hg5Os with its simulated X-ray diffraction stick pattern. Radiation: Cu Kα X-rays. Structure: a DFT-relaxed cell (PBE, Alexandria).
Peak positions follow from Bragg's law for the DFT cell and can differ from measured ones.

Main lines, sorted by position (2θ = 10–80°):
- hkl 0 1 1, 2θ = 12.3°, I 49.0
- hkl 0 2 2, 2θ = 24.7°, I 81.8
- hkl 1 1 2, 2θ = 35.7°, I 63.4
- hkl 0 3 3, 2θ = 37.4°, I 54.6
- hkl 1 0 3, 2θ = 39.6°, I 46.8
- hkl 1 3 0, 2θ = 40.7°, I 100.0

Crystal structure
```
data_Hg5Os
_chemical_formula_sum 'Hg10 Os2'
_cell_length_a 2.988
_cell_length_b 9.900
_cell_length_c 10.511
_cell_angle_alpha 90.00
_cell_angle_beta 90.00
_cell_angle_gamma 90.00
_space_group_name_H-M_alt 'I m m 2'
_space_group_IT_number 44
loop_
_space_group_symop_operation_xyz
'x,y,z'
'-x,-y,z'
'-x,y,z'
'x,-y,z'
'x+1/2,y+1/2,z+1/2'
'-x+1/2,-y+1/2,z+1/2'
'-x+1/2,y+1/2,z+1/2'
'x+1/2,-y+1/2,z+1/2'
loop_
_atom_site_label
_atom_site_fract_x
_atom_site_fract_y
_atom_site_fract_z
Hg1 0.000 0.000 0.000
Hg2 0.000 0.333 0.160
Hg3 0.000 0.333 0.838
Os1 0.000 0.000 0.499
```

(3)
This entry pairs a crystal structure of PaTlI2F6 with its simulated X-ray diffraction stick pattern. Radiation: Cu Kα X-rays. Structure: a DFT-relaxed cell (PBE, Alexandria).
Peak positions follow from Bragg's law for the DFT cell and can differ from measured ones.

Main lines, sorted by position (2θ = 10–80°):
- hkl 0 2 0, 2θ = 17.4°, I 12.7
- hkl 2 0 0, 2θ = 24.7°, I 100.0
- hkl 0 4 0, 2θ = 35.2°, I 19.4
- hkl 2 4 0, 2θ = 43.5°, I 35.6
- hkl 4 0 0, 2θ = 50.7°, I 12.9
- hkl 2 0 2, 2θ = 57.1°, I 11.3

Crystal structure
```
data_PaTlI2F6
_chemical_formula_sum 'Pa2 Tl2 I4 F12'
_cell_length_a 10.169
_cell_length_b 10.192
_cell_length_c 7.199
_cell_angle_alpha 90.00
_cell_angle_beta 134.85
_cell_angle_gamma 90.00
_space_group_name_H-M_alt 'C 1 2/m 1'
_space_group_IT_number 12
loop_
_space_group_symop_operation_xyz
'x,y,z'
'-x,-y,-z'
'-x,y,-z'
'x,-y,z'
'x+1/2,y+1/2,z'
'-x+1/2,-y+1/2,-z'
'-x+1/2,y+1/2,-z'
'x+1/2,-y+1/2,z'
loop_
_atom_site_label
_atom_site_fract_x
_atom_site_fract_y
_atom_site_fract_z
Pa1 0.000 0.000 0.000
Tl1 0.000 0.500 0.000
I1 0.000 0.250 0.500
F1 0.000 0.208 0.000
F2 0.207 0.000 0.415
F3 0.208 0.000 0.000
```

(4)
This entry pairs a crystal structure of Cs2Pb2I with its simulated X-ray diffraction stick pattern. Radiation: Cu Kα X-rays. Structure: a DFT-relaxed cell (PBE, Alexandria).
Peak positions follow from Bragg's law for the DFT cell and can differ from measured ones.

Main lines, sorted by position (2θ = 10–80°):
- hkl 0 0 4, 2θ = 15.4°, I 29.8
- hkl 1 0 5, 2θ = 27.4°, I 43.3
- hkl 1 1 2, 2θ = 28.6°, I 100.0
- hkl 1 1 4, 2θ = 31.7°, I 47.3
- hkl 2 0 0, 2θ = 39.3°, I 35.2
- hkl 1 1 10, 2θ = 48.5°, I 38.6

Crystal structure
```
data_Cs2Pb2I
_chemical_formula_sum 'Cs4 Pb4 I2'
_cell_length_a 4.584
_cell_length_b 4.584
_cell_length_c 23.052
_cell_angle_alpha 90.00
_cell_angle_beta 90.00
_cell_angle_gamma 90.00
_space_group_name_H-M_alt 'I 4/m m m'
_space_group_IT_number 139
_space_group_name_Hall '-I 4 2'
loop_
_atom_site_label
_atom_site_fract_x
_atom_site_fract_y
_atom_site_fract_z
Cs1 0.000 0.000 0.098
Pb1 0.000 0.500 0.250
I1 0.000 0.000 0.500
```

(5)
This entry pairs a crystal structure of Sm2DyTm12 with its simulated X-ray diffraction stick pattern. Radiation: Cu Kα X-rays. Structure: a DFT-relaxed cell (PBE, Alexandria).
Peak positions follow from Bragg's law for the DFT cell and can differ from measured ones.

Main lines, sorted by position (2θ = 10–80°):
- hkl 0 2 7, 2θ = 30.9°, I 65.6
- hkl 2 2 -3, 2θ = 31.4°, I 100.0
- hkl 0 4 0, 2θ = 32.3°, I 79.9
- hkl 2 0 5, 2θ = 32.7°, I 45.3
- hkl 0 2 8, 2θ = 34.2°, I 40.8
- hkl 2 2 -5, 2θ = 34.5°, I 52.5

Crystal structure
```
data_Sm2DyTm12
_chemical_formula_sum 'Sm8 Dy4 Tm48'
_cell_length_a 7.086
_cell_length_b 11.084
_cell_length_c 23.855
_cell_angle_alpha 90.00
_cell_angle_beta 94.24
_cell_angle_gamma 90.00
_space_group_name_H-M_alt 'C 1 2/m 1'
_space_group_IT_number 12
loop_
_space_group_symop_operation_xyz
'x,y,z'
'-x,-y,-z'
'-x,y,-z'
'x,-y,z'
'x+1/2,y+1/2,z'
'-x+1/2,-y+1/2,-z'
'-x+1/2,y+1/2,-z'
'x+1/2,-y+1/2,z'
loop_
_atom_site_label
_atom_site_fract_x
_atom_site_fract_y
_atom_site_fract_z
Sm1 0.070 0.000 0.280
Sm2 0.070 0.500 0.281
Dy1 0.250 0.000 0.000
Tm1 0.017 0.251 0.066
Tm2 0.034 0.000 0.134
Tm3 0.034 0.500 0.136
Tm4 0.111 0.250 0.445
Tm5 0.143 0.000 0.573
Tm6 0.143 0.500 0.573
Tm7 0.167 0.250 0.670
Tm8 0.202 0.250 0.808
```

(6)
This entry pairs a crystal structure of Cu3S2 with its simulated X-ray diffraction stick pattern. Radiation: Cu Kα X-rays. Structure: a DFT-relaxed cell (PBE, Alexandria).
Peak positions follow from Bragg's law for the DFT cell and can differ from measured ones.

Main lines, sorted by position (2θ = 10–80°):
- hkl 2 0 0, 2θ = 27.2°, I 100.0
- hkl 1 1 1, 2θ = 32.6°, I 78.9
- hkl 1 1 -2, 2θ = 36.4°, I 77.6
- hkl 1 1 -3, 2θ = 47.4°, I 54.9
- hkl 0 2 0, 2θ = 48.4°, I 46.5
- hkl 3 1 1, 2θ = 53.9°, I 52.7

Crystal structure
```
data_Cu3S2
_chemical_formula_sum 'Cu6 S4'
_cell_length_a 6.849
_cell_length_b 3.759
_cell_length_c 6.689
_cell_angle_alpha 90.00
_cell_angle_beta 106.83
_cell_angle_gamma 90.00
_space_group_name_H-M_alt 'C 1 m 1'
_space_group_IT_number 8
loop_
_space_group_symop_operation_xyz
'x,y,z'
'x,-y,z'
'x+1/2,y+1/2,z'
'x+1/2,-y+1/2,z'
loop_
_atom_site_label
_atom_site_fract_x
_atom_site_fract_y
_atom_site_fract_z
Cu1 0.000 0.000 0.000
Cu2 0.015 0.500 0.399
Cu3 0.127 0.000 0.674
S1 0.155 0.500 0.871
S2 0.173 0.000 0.347
```